For LaCeErMg, a PBE-relaxed structure gives the theoretical powder X-ray diffraction pattern in this record (λ = 1.5418 Å (Cu Kα)).
No peak broadening, texture or thermal motion is included.

Structural model:
Unit cell a=7.909 b=7.909 c=7.909 alpha=90.00 beta=90.00 gamma=90.00
Space group F-43m (No. 216)
Symmetry-distinct sites (fractional):
La (0.000, 0.000, 0.000)
Ce (0.000, 0.000, 0.500)
Er (0.250, 0.250, 0.750)
Mg (0.250, 0.250, 0.250)

The 10 most intense peaks (2θ from 15° to 90°), in order of rising 2θ:
- 19.4 deg, I 20, (1 1 1)
- 22.5 deg, I 4, (2 0 0)
- 32.0 deg, I 100, (2 2 0)
- 37.7 deg, I 11, (3 1 1)
- 45.9 deg, I 18, (4 0 0)
- 50.3 deg, I 5, (3 3 1)
- 57.0 deg, I 38, (4 2 2)
- 66.9 deg, I 12, (4 4 0)
- 76.1 deg, I 16, (6 2 0)
- 85.0 deg, I 4, (4 4 4)